Record 1
This entry pairs a crystal structure of Sm3Ag2Au3 with its calculated powder diffraction line list. Radiation: Cu Kα. Structure: a DFT-relaxed cell (PBE, Alexandria).

Atomic structure:
```
16
Lattice="8.7415 0.0000 0.0000 -4.3708 7.5704 0.0000 0.0000 0.0000 5.9075" Properties=species:S:1:pos:R:3 pbc="T T T"
Sm -1.2426 2.1523 1.4769
Sm -3.1281 5.4181 4.4306
Sm 2.4853 0.0000 1.4769
Sm 1.2426 2.1523 4.4306
Sm 6.2562 0.0000 4.4306
Sm 3.1281 5.4181 1.4769
Ag 0.0000 5.0469 0.0000
Ag 0.0000 5.0469 2.9537
Ag 4.3708 2.5235 0.0000
Ag 4.3708 2.5235 2.9537
Au -1.6447 2.8486 4.4306
Au -2.7261 4.7218 1.4769
Au 3.2893 0.0000 4.4306
Au 1.6447 2.8486 1.4769
Au 5.4522 0.0000 1.4769
Au 2.7261 4.7218 4.4306
```

Principal peaks in the range 2θ = 5–70°, sorted by position:
2θ = 20.3°, rel. 24; 2θ = 30.3°, rel. 32; 2θ = 34.8°, rel. 66; 2θ = 35.6°, rel. 100; 2θ = 36.7°, rel. 86; 2θ = 45.9°, rel. 27; 2θ = 47.4°, rel. 29; 2θ = 52.1°, rel. 22; 2θ = 56.8°, rel. 16; 2θ = 67.3°, rel. 22

***

Record 2
This entry pairs a crystal structure of Pm2Sm5Er6 with its calculated powder diffraction line list. Radiation: Cu Kα. Structure: a DFT-relaxed cell (PBE, Alexandria).

Atomic structure:
```
26
Lattice="11.6761 0.0000 0.0000 0.0000 20.4096 0.0000 0.0000 0.0000 3.5831" Properties=species:S:1:pos:R:3 pbc="T T T"
Pm 1.9967 4.3681 0.0000
Pm 3.8414 14.5729 0.0000
Pm 7.8348 5.8367 0.0000
Pm 9.6794 16.0415 0.0000
Sm 0.0000 10.2048 1.7915
Sm 1.0133 15.8371 1.7915
Sm 2.3352 1.0249 1.7915
Sm 3.5029 11.2296 1.7915
Sm 4.8248 5.6324 1.7915
Sm 5.8381 0.0000 1.7915
Sm 6.8513 14.7772 1.7915
Sm 8.1733 9.1799 1.7915
Sm 9.3409 19.3847 1.7915
Sm 10.6629 4.5724 1.7915
Er 0.7035 18.7973 0.0000
Er 0.9162 12.9149 0.0000
Er 2.0830 7.5132 1.7915
Er 3.7551 17.7180 1.7915
Er 4.9219 2.7102 0.0000
Er 5.1346 8.5925 0.0000
Er 6.5416 11.8171 0.0000
Er 6.7543 17.6994 0.0000
Er 7.9211 2.6916 1.7915
Er 9.5931 12.8963 1.7915
Er 10.7599 7.4946 0.0000
Er 10.9726 1.6123 0.0000
```

Principal peaks in the range 2θ = 5–70°, sorted by position:
2θ = 30.9°, rel. 65; 2θ = 31.5°, rel. 49; 2θ = 31.6°, rel. 66; 2θ = 32.1°, rel. 100; 2θ = 34.2°, rel. 40; 2θ = 35.0°, rel. 24; 2θ = 36.6°, rel. 32; 2θ = 51.0°, rel. 23; 2θ = 60.8°, rel. 20; 2θ = 61.3°, rel. 26

***

Record 3
This entry pairs a crystal structure of Ba4PuS5 with its calculated powder diffraction line list. Radiation: Cu Kα. Structure: a DFT-relaxed cell (PBE, Alexandria).

Atomic structure:
```
10
Lattice="-4.9765 4.9765 3.1653 4.9765 -4.9765 3.1653 4.9765 4.9765 -3.1653" Properties=species:S:1:pos:R:3 pbc="T T T"
Ba 6.9780 0.9711 0.0000
Ba 0.9711 2.9750 0.0000
Ba 4.0054 2.0015 3.1653
Ba -2.0015 4.0054 3.1653
Pu 0.0000 0.0000 3.0697
S 0.0000 0.0000 0.1470
S 4.0580 2.2022 0.0052
S 2.7742 -0.9185 3.1705
S 2.2022 5.8950 0.0052
S 0.9185 2.7742 3.1705
```

Principal peaks in the range 2θ = 5–70°, sorted by position:
2θ = 24.4°, rel. 100; 2θ = 28.2°, rel. 43; 2θ = 28.4°, rel. 84; 2θ = 40.4°, rel. 63; 2θ = 40.5°, rel. 31; 2θ = 47.7°, rel. 18; 2θ = 47.9°, rel. 36; 2θ = 50.1°, rel. 33; 2θ = 64.3°, rel. 15; 2θ = 66.4°, rel. 28

***

Record 4
This entry pairs a crystal structure of Rb5TiS4 with its calculated powder diffraction line list. Radiation: Cu Kα. Structure: a DFT-relaxed cell (PBE, Alexandria).

Atomic structure:
```
20
Lattice="9.6227 0.0000 0.0000 0.0000 10.3984 0.0000 0.0000 0.0000 7.7393" Properties=species:S:1:pos:R:3 pbc="T T T"
Rb 0.0023 0.6456 1.8002
Rb 0.0023 4.5536 1.8002
Rb 9.6204 5.8448 5.9391
Rb 9.6204 9.7527 5.9391
Rb 2.4057 2.5996 5.0558
Rb 4.8091 0.6456 1.8002
Rb 4.8091 4.5536 1.8002
Rb 4.8136 5.8448 5.9391
Rb 4.8136 9.7527 5.9391
Rb 7.2170 7.7988 2.6835
Ti 2.4057 7.7988 2.3594
Ti 7.2170 2.5996 5.3799
S 0.5046 7.7988 1.0324
S 2.4057 5.8760 3.6529
S 2.4057 9.7216 3.6529
S 4.3067 7.7988 1.0324
S 5.3159 2.5996 6.7069
S 7.2170 0.6768 4.0863
S 7.2170 4.5224 4.0863
S 9.1181 2.5996 6.7069
```

Principal peaks in the range 2θ = 5–70°, sorted by position:
2θ = 21.8°, rel. 38; 2θ = 23.0°, rel. 45; 2θ = 23.4°, rel. 64; 2θ = 25.2°, rel. 46; 2θ = 28.2°, rel. 100; 2θ = 29.6°, rel. 46; 2θ = 33.9°, rel. 34; 2θ = 34.4°, rel. 62; 2θ = 37.4°, rel. 33; 2θ = 47.5°, rel. 39

***

Record 5
This entry pairs a crystal structure of Dy3Mg2Cd6 with its calculated powder diffraction line list. Radiation: Cu Kα. Structure: a DFT-relaxed cell (PBE, Alexandria).

Atomic structure:
```
11
Lattice="-2.1956 2.1956 14.3105 2.1956 -2.1956 14.3105 2.1956 2.1956 -14.3105" Properties=species:S:1:pos:R:3 pbc="T T T"
Dy 0.0000 0.0000 0.0000
Dy 0.0000 0.0000 5.8992
Dy 0.0000 0.0000 22.7218
Mg 0.0000 0.0000 12.9449
Mg 0.0000 0.0000 15.6761
Cd 2.1956 0.0000 3.2028
Cd 0.0000 0.0000 9.0359
Cd 2.1956 0.0000 11.1077
Cd 0.0000 2.1956 3.2028
Cd 0.0000 0.0000 19.5851
Cd 0.0000 2.1956 11.1077
```

Principal peaks in the range 2θ = 5–70°, sorted by position:
2θ = 6.2°, rel. 37; 2θ = 25.6°, rel. 22; 2θ = 31.3°, rel. 35; 2θ = 31.4°, rel. 100; 2θ = 34.5°, rel. 47; 2θ = 34.8°, rel. 39; 2θ = 38.4°, rel. 46; 2θ = 41.1°, rel. 65; 2θ = 52.5°, rel. 32; 2θ = 68.8°, rel. 34

***

Record 6
This entry pairs a crystal structure of AlNi4As with its calculated powder diffraction line list. Radiation: Cu Kα. Structure: a DFT-relaxed cell (PBE, Alexandria).

Atomic structure:
```
6
Lattice="0.0000 3.3565 3.3565 3.3565 0.0000 3.3565 3.3565 3.3565 0.0000" Properties=species:S:1:pos:R:3 pbc="T T T"
Al 0.0000 0.0000 0.0000
Ni 4.1971 2.5158 2.5158
Ni 2.5158 4.1971 2.5158
Ni 2.5158 2.5158 4.1971
Ni 4.1971 4.1971 4.1971
As 1.6782 1.6782 1.6782
```

Principal peaks in the range 2θ = 5–70°, sorted by position:
2θ = 22.9°, rel. 21; 2θ = 26.6°, rel. 6; 2θ = 37.9°, rel. 21; 2θ = 44.8°, rel. 100; 2θ = 46.9°, rel. 47; 2θ = 54.7°, rel. 7; 2θ = 60.1°, rel. 4; 2θ = 61.8°, rel. 2; 2θ = 68.5°, rel. 7